# Y2AlGe2Rh5
Calculated X-ray diffraction stick pattern, Cu Kα X-rays. Input: the PBE geometry in Alexandria.
Lines closer than 0.1° are merged.

Peak list (12 most intense, 2θ = 10–90°, low angle first)
d_spacing, intensity, (hkl)
6.922, 15, 1 1 0
2.750, 15, 2 1 1
2.473, 17, 2 2 1
2.374, 56, 4 1 0
2.329, 100, 3 1 1
2.307, 26, 3 3 0
2.189, 14, 4 2 0
2.153, 51, 3 2 1
2.012, 24, 4 0 1
1.767, 24, 0 0 2
1.418, 34, 4 1 2
1.403, 22, 3 3 2

Structural model:
Cell: 9.7887 9.7887 3.5341 Å, 90.00 90.00 90.00°
Space group P4/mbm (No. 127)
Unique sites:
Y 0.1738 0.3262 0.0000
Al 0.0000 0.0000 0.0000
Ge 0.1254 0.6254 0.0000
Rh 0.0000 0.5000 0.5000
Rh 0.0660 0.7950 0.5000